Record 1
For KMg2In3, a crystal structure in Alexandria, relaxed with PBE gives the theoretical powder diffractogram in this record (Cu Kα, 1.54184 Å).
Neutral-atom scattering factors, no anomalous dispersion.

abc: 12.073 9.844 6.026
angles: 90.00 90.00 90.00
Space group Cmcm (No. 63)
One atom of each set of equivalent atoms:
K 0.000 0.170 0.250 (multiplicity 4)
Mg 0.218 0.500 0.000 (multiplicity 8)
In 0.000 0.437 0.750 (multiplicity 4)
In 0.187 0.230 0.750 (multiplicity 8)

The 12 most intense peaks (10° ≤ 2θ ≤ 90°), by intensity:
2θ/deg  d/Å  I_rel  hkl
38.42  2.343  100  3 3 1
28.17  3.168  95  3 1 1
38.05  2.365  70  2 2 2
29.64  3.014  62  0 0 2
11.60  7.629  55  1 1 0
27.68  3.223  49  2 2 1
23.32  3.814  49  2 2 0
18.76  4.729  47  1 1 1
41.32  2.185  40  5 1 1
34.91  2.570  30  0 2 2
39.55  2.279  30  2 4 0
62.81  1.479  30  5 5 1


Record 2
For KMg6In6, a crystal structure in Alexandria, relaxed with PBE gives the theoretical powder diffractogram in this record (Cu Kα, 1.54184 Å).
Neutral-atom scattering factors, no anomalous dispersion.

abc: 6.201 10.057 10.617
angles: 90.00 90.00 90.00
Space group Immm (No. 71)
One atom of each set of equivalent atoms:
K 0.000 0.000 0.000 (multiplicity 2)
Mg 0.000 0.264 0.500 (multiplicity 4)
Mg 0.250 0.250 0.250 (multiplicity 8)
In 0.000 0.000 0.347 (multiplicity 4)
In 0.000 0.349 0.000 (multiplicity 4)
In 0.000 0.500 0.311 (multiplicity 4)

The 12 most intense peaks (10° ≤ 2θ ≤ 90°), by intensity:
2θ/deg  d/Å  I_rel  hkl
29.05  3.074  100  1 0 3
34.19  2.623  62  1 2 3
28.79  3.101  56  2 0 0
39.62  2.275  55  0 4 2
38.08  2.363  42  2 2 2
34.80  2.578  37  1 3 2
33.97  2.639  36  2 2 0
12.12  7.301  32  0 1 1
17.64  5.029  29  0 2 0
24.28  3.666  29  1 2 1
63.19  1.472  25  1 6 3
51.18  1.785  20  3 0 3


Record 3
For K3Mg20In14, a crystal structure in Alexandria, relaxed with PBE gives the theoretical powder diffractogram in this record (Cu Kα, 1.54184 Å).
Neutral-atom scattering factors, no anomalous dispersion.

abc: 9.817 9.817 9.817
angles: 90.00 90.00 90.00
Space group Pm-3m (No. 221)
One atom of each set of equivalent atoms:
K 0.000 0.000 0.500 (multiplicity 3)
Mg 0.175 0.175 0.175 (multiplicity 8)
Mg 0.267 0.267 0.500 (multiplicity 12)
In 0.000 0.000 0.000 (multiplicity 1)
In 0.000 0.349 0.349 (multiplicity 12)
In 0.500 0.500 0.500 (multiplicity 1)

The 12 most intense peaks (10° ≤ 2θ ≤ 90°), by intensity:
2θ/deg  d/Å  I_rel  hkl
38.92  2.314  100  3 3 0
27.25  3.272  50  3 0 0
22.18  4.008  50  2 1 1
70.49  1.336  30  6 3 3
30.19  2.960  27  3 1 1
42.19  2.142  26  4 2 1
37.79  2.381  25  4 1 0
56.22  1.636  22  6 0 0
15.64  5.668  21  1 1 1
31.57  2.834  17  2 2 2
63.58  1.463  17  6 3 0
20.23  4.390  16  2 1 0


Record 4
For KMg6In4, a crystal structure in Alexandria, relaxed with PBE gives the theoretical powder diffractogram in this record (Cu Kα, 1.54184 Å).
Neutral-atom scattering factors, no anomalous dispersion.

abc: 8.4882 8.4882 4.6755
angles: 90.00 90.00 120.00
Space group P-6m2 (No. 187)
One atom of each set of equivalent atoms:
K 0.0000 0.0000 0.0000 (multiplicity 1)
Mg 0.2059 0.4118 0.5000 (multiplicity 3)
Mg 0.5320 0.0641 0.0000 (multiplicity 3)
In 0.3333 0.6667 0.0000 (multiplicity 1)
In 0.4083 0.2042 0.5000 (multiplicity 3)

The 12 most intense peaks (10° ≤ 2θ ≤ 90°), by intensity:
2θ/deg  d/Å  I_rel  hkl
37.66  2.389  100  2 1 1
22.54  3.945  83  1 0 1
24.21  3.675  81  2 0 0
41.61  2.170  67  3 0 1
30.95  2.890  54  2 0 1
28.40  3.143  52  1 1 1
32.22  2.778  49  2 1 0
12.04  7.351  36  1 0 0
38.51  2.338  36  0 0 2
46.01  1.973  29  2 0 2
42.60  2.122  27  2 2 0
51.06  1.789  26  2 1 2